No. 1
For Ta2Nb4Fe3C3, a DFT-relaxed cell (GGA-PBE, OQMD) gives the simulated X-ray diffraction stick pattern in this record (Cu Kα X-rays).
Lines closer than 0.1° are merged.

Largest 8 diffraction maxima, by intensity, 5 to 70 degrees two-theta:
h k l  d (Å)  I/Imax
0 2 3  2.288  100.0
3 1 0  2.621  32.0
0 0 6  2.209  18.7
3 1 -5  2.081  18.4
3 1 -1  2.674  18.1
6 0 -2  1.546  16.8
3 3 -1  1.544  16.5
0 0 4  3.313  13.1

Structural model:
```
data_Ta2Nb4Fe3C3
_symmetry_space_group_name_H-M 'C 1 2/c 1'
_symmetry_Int_Tables_number 15
_symmetry_space_group_name_Hall '-C 2yc'
_cell_length_a 9.2710
_cell_length_b 5.3442
_cell_length_c 13.6146
_cell_angle_alpha 90.00
_cell_angle_beta 103.26
_cell_angle_gamma 90.00
loop_
_atom_site_label
_atom_site_type_symbol
_atom_site_fract_x
_atom_site_fract_y
_atom_site_fract_z
_atom_site_occupancy
Ta1 Ta 0.0475 0.0835 0.3941 1
Nb1 Nb 0.1139 0.4161 0.5916 1
Nb2 Nb 0.2194 0.4159 0.9083 1
Fe1 Fe 0.0000 0.4247 0.7500 1
Fe2 Fe 0.2439 0.1598 0.7495 1
C1 C 0.0790 0.2369 0.0000 1
C2 C 0.2500 0.2500 0.5000 1
```

No. 2
For PrNdFe2C4, a DFT-relaxed cell (GGA-PBE, OQMD) gives the simulated X-ray diffraction stick pattern in this record (Cu Kα X-rays).
Lines closer than 0.1° are merged.

Largest 8 diffraction maxima, by intensity, 5 to 70 degrees two-theta:
h k l  d (Å)  I/Imax
0 1 2  2.832  100.0
0 1 -2  2.448  87.2
1 1 0  2.645  65.8
1 -1 1  2.529  59.6
0 1 0  3.777  35.9
0 0 2  3.634  35.7
2 0 1  1.896  34.4
1 1 2  2.380  29.4

Structural model:
```
data_PrNdFe2C4
_symmetry_space_group_name_H-M 'P 1'
_symmetry_Int_Tables_number 1
_symmetry_space_group_name_Hall 'P 1'
_cell_length_a 3.8151
_cell_length_b 3.8196
_cell_length_c 7.4222
_cell_angle_alpha 81.81
_cell_angle_beta 81.69
_cell_angle_gamma 89.92
loop_
_atom_site_label
_atom_site_type_symbol
_atom_site_fract_x
_atom_site_fract_y
_atom_site_fract_z
_atom_site_occupancy
Pr1 Pr 0.0000 0.0000 0.0000 1
Nd1 Nd 0.1467 0.8550 0.4996 1
Fe1 Fe 0.5584 0.5454 0.8014 1
Fe2 Fe 0.6923 0.4126 0.3027 1
C1 C 0.2138 0.4377 0.2240 1
C2 C 0.4739 0.4795 0.0675 1
C3 C 0.5840 0.0657 0.7223 1
C4 C 0.6260 0.3269 0.5668 1
```